Record 1
For Li10Zn6Cd, the GGA-PBE geometry in Alexandria gives the theoretical XRD peak list in this record (λ = 1.5418 Å (Cu Kα)).

Structural model:
a = 7.6812 Å, b = 7.6812 Å, c = 5.4635 Å
α = 90.00°, β = 90.00°, γ = 120.00°
Fractional coordinates of all 17 atoms:
Li  0.0000  0.3017  0.3367
Li  0.0000  0.6983  0.6633
Li  0.3017  0.0000  0.3367
Li  0.3017  0.3017  0.6633
Li  0.3333  0.6667  0.0000
Li  0.3333  0.6667  0.5000
Li  0.6667  0.3333  0.0000
Li  0.6667  0.3333  0.5000
Li  0.6983  0.0000  0.6633
Li  0.6983  0.6983  0.3367
Zn  0.0000  0.3584  0.8475
Zn  0.0000  0.6416  0.1525
Zn  0.3584  0.0000  0.8475
Zn  0.3584  0.3584  0.1525
Zn  0.6416  0.0000  0.1525
Zn  0.6416  0.6416  0.8475
Cd  0.0000  0.0000  0.0000

Peak list (12 most intense, 2θ from 10° to 80°, by angle)
| d [Å] | intensity |
| --- | --- |
| 6.652 | 19 |
| 5.464 | 100 |
| 4.222 | 23 |
| 3.326 | 25 |
| 3.142 | 100 |
| 2.841 | 28 |
| 2.284 | 24 |
| 2.226 | 89 |
| 2.217 | 78 |
| 2.055 | 43 |
| 1.571 | 25 |
| 1.282 | 21 |

***

Record 2
For LaTb4Sm5, the GGA-PBE geometry in Alexandria gives the theoretical XRD peak list in this record (λ = 1.5418 Å (Cu Kα)).

Structural model:
a = 3.6199 Å, b = 9.5462 Å, c = 10.2260 Å
α = 105.74°, β = 90.12°, γ = 100.82°
Fractional coordinates of all 10 atoms:
La  0.0000  0.0000  0.0000
Tb  0.2005  0.4007  0.1005
Tb  0.3988  0.7978  0.6985
Tb  0.6012  0.2022  0.3015
Tb  0.7995  0.5993  0.8995
Sm  0.0000  0.0000  0.5000
Sm  0.1999  0.4003  0.5998
Sm  0.3983  0.7968  0.2002
Sm  0.6017  0.2032  0.7998
Sm  0.8001  0.5997  0.4002

Peak list (12 most intense, 2θ from 10° to 80°, by angle)
| d [Å] | intensity |
| --- | --- |
| 2.953 | 100 |
| 2.940 | 33 |
| 2.555 | 67 |
| 1.811 | 16 |
| 1.806 | 16 |
| 1.803 | 16 |
| 1.544 | 14 |
| 1.541 | 24 |
| 1.538 | 14 |
| 1.537 | 5 |
| 1.476 | 8 |
| 1.278 | 5 |

***

Record 3
For Rb2SrTe2O6, the GGA-PBE geometry in Alexandria gives the theoretical XRD peak list in this record (λ = 1.5418 Å (Cu Kα)).

Structural model:
a = 6.0133 Å, b = 6.0133 Å, c = 7.8319 Å
α = 108.91°, β = 108.91°, γ = 65.80°
Fractional coordinates of all 11 atoms:
Rb  0.2012  0.2012  0.1466
Rb  0.7988  0.7988  0.8534
Sr  0.0000  0.0000  0.5000
Te  0.4142  0.4142  0.7570
Te  0.5858  0.5858  0.2430
O  0.2424  0.6975  0.2471
O  0.2607  0.2607  0.5271
O  0.3025  0.7576  0.7529
O  0.6975  0.2424  0.2471
O  0.7393  0.7393  0.4729
O  0.7576  0.3025  0.7529

Peak list (12 most intense, 2θ from 10° to 80°, by angle)
| d [Å] | intensity |
| --- | --- |
| 5.348 | 8 |
| 4.856 | 12 |
| 3.612 | 12 |
| 3.361 | 100 |
| 3.266 | 37 |
| 2.989 | 63 |
| 2.344 | 27 |
| 1.903 | 12 |
| 1.838 | 8 |
| 1.828 | 16 |
| 1.791 | 14 |
| 1.788 | 11 |

***

Record 4
For KGa4Pd, the GGA-PBE geometry in Alexandria gives the theoretical XRD peak list in this record (λ = 1.5418 Å (Cu Kα)).

Structural model:
a = 4.3780 Å, b = 7.9054 Å, c = 8.5007 Å
α = 66.42°, β = 75.14°, γ = 89.93°
Fractional coordinates of all 12 atoms:
K  0.1863  0.3106  0.1278
K  0.8137  0.6894  0.8722
Ga  0.0428  0.8703  0.4150
Ga  0.1687  0.7518  0.1592
Ga  0.3335  0.0368  0.8345
Ga  0.4661  0.6374  0.5685
Ga  0.5339  0.3626  0.4315
Ga  0.6665  0.9632  0.1655
Ga  0.8313  0.2482  0.8408
Ga  0.9572  0.1297  0.5850
Pd  0.0000  0.5000  0.5000
Pd  0.5000  0.0000  0.5000

Peak list (12 most intense, 2θ from 10° to 80°, by angle)
| d [Å] | intensity |
| --- | --- |
| 7.481 | 100 |
| 6.771 | 27 |
| 3.827 | 22 |
| 2.845 | 34 |
| 2.819 | 32 |
| 2.628 | 35 |
| 2.494 | 36 |
| 2.253 | 33 |
| 2.189 | 52 |
| 2.121 | 50 |
| 2.056 | 34 |
| 1.986 | 38 |